The following is a calculated powder diffraction line list of Mg6CdNiO8. It was derived from a cell relaxed with GGA+U, using λ = 1.5418 Å (Cu Kα).

Atomic structure:
a = 4.3518 Å, b = 4.3518 Å, c = 8.6778 Å
α = 90.00°, β = 90.00°, γ = 90.00°
Fractional positions:
Mg 0.0000 0.0000 0.0000
Mg 0.0000 0.0000 0.5000
Mg 0.0000 0.5000 0.2428
Mg 0.0000 0.5000 0.7572
Mg 0.5000 0.0000 0.2428
Mg 0.5000 0.0000 0.7572
Cd 0.5000 0.5000 0.5000
Ni 0.5000 0.5000 0.0000
O 0.0000 0.0000 0.2500
O 0.0000 0.0000 0.7500
O 0.0000 0.5000 0.0000
O 0.0000 0.5000 0.5000
O 0.5000 0.0000 0.0000
O 0.5000 0.0000 0.5000
O 0.5000 0.5000 0.2332
O 0.5000 0.5000 0.7668

Top 10 peaks for 2θ = 10–80°, in order of rising 2θ:
d/Å	I_rel	h k l
4.347	74	0 0 2
3.074	63	1 0 2
2.510	59	1 1 2
2.176	100	2 0 0
2.169	49	0 0 4
1.946	22	2 0 2
1.775	24	2 1 2
1.537	86	2 2 0
1.312	18	3 1 2
1.255	27	2 2 4